Diffraction record for Y4Al23Ni6. The powder diffraction line list is theoretical, not measured: it uses a DFT-relaxed cell (GGA-PBE, OQMD) and Cu Kα (weighted mean of Kα1 and Kα2).
Kinematic intensities with the Lorentz-polarization factor, no thermal factor.

Most intense lines, 5° ≤ 2θ ≤ 70°, low angle first:
| d [Å] | I/Imax |
| --- | --- |
| 2.939 | 62 |
| 2.495 | 74 |
| 2.481 | 49 |
| 2.433 | 77 |
| 2.406 | 93 |
| 2.251 | 83 |
| 2.035 | 100 |
| 1.969 | 41 |

Structural model:
a = 8.164 Å, b = 8.164 Å, c = 18.303 Å
α = 112.12°, β = 112.12°, γ = 28.86°
Positions (direct):
Y1 0.072 0.072 0.407
Y2 0.235 0.235 0.781
Y3 0.765 0.765 0.219
Y4 0.928 0.928 0.593
Al1 0.033 0.033 0.781
Al2 0.066 0.066 0.940
Al3 0.110 0.110 0.164
Al4 0.122 0.122 0.595
Al5 0.226 0.226 0.325
Al6 0.244 0.244 0.953
Al7 0.299 0.299 0.480
Al8 0.355 0.355 0.143
Al9 0.410 0.410 0.718
Al10 0.410 0.410 0.948
Al11 0.419 0.419 0.314
Al12 0.500 0.500 0.500
Al13 0.581 0.581 0.686
Al14 0.590 0.590 0.052
Al15 0.590 0.590 0.282
Al16 0.645 0.645 0.857
Al17 0.701 0.701 0.520
Al18 0.756 0.756 0.047
Al19 0.774 0.774 0.675
Al20 0.878 0.878 0.405
Al21 0.890 0.890 0.836
Al22 0.934 0.934 0.060
Al23 0.967 0.967 0.219
Ni1 0.189 0.189 0.068
Ni2 0.273 0.273 0.601
Ni3 0.492 0.492 0.861
Ni4 0.508 0.508 0.139
Ni5 0.727 0.727 0.399
Ni6 0.811 0.811 0.932